Entry 1:
The following is a theoretical X-ray diffraction stick pattern of UNi12. It was derived from a GGA-PBE-relaxed structure, using Cu Kα (weighted mean of Kα1 and Kα2).
No peak broadening, texture or thermal motion is included.

Crystal structure
Lattice parameters (Å, degrees): 8.1454 8.1454 4.6933 90.00 90.00 90.00
Space group I4/mmm (No. 139)
Inequivalent atoms, fractional coordinates:
U 0.0000 0.0000 0.0000
Ni 0.0000 0.2168 0.5000
Ni 0.0000 0.3501 0.0000
Ni 0.2500 0.2500 0.2500

Largest 10 diffraction maxima, sorted by position, 10 to 80 degrees two-theta:
d [Å], 2theta, Rel. int., h k l
5.760, 15.38, 9, 1 1 0
4.067, 21.85, 9, 1 0 1
2.878, 31.07, 23, 2 1 1
2.576, 34.83, 9, 3 1 0
2.349, 38.31, 33, 0 0 2
2.035, 44.52, 100, 4 0 0
1.820, 50.13, 10, 2 2 2
1.539, 60.13, 6, 4 3 1
1.439, 64.77, 11, 4 4 0
1.286, 73.65, 10, 3 2 3

Entry 2:
The following is a theoretical X-ray diffraction stick pattern of NaGa6Pt. It was derived from a GGA-PBE-relaxed structure, using Cu Kα (weighted mean of Kα1 and Kα2).
No peak broadening, texture or thermal motion is included.

Crystal structure
Lattice parameters (Å, degrees): 4.3131 4.3131 8.4867 90.00 90.00 90.00
Space group P4/mmm (No. 123)
Inequivalent atoms, fractional coordinates:
Na 0.0000 0.0000 0.0000
Ga 0.0000 0.5000 0.3271
Ga 0.5000 0.5000 0.1465
Pt 0.0000 0.0000 0.5000

Largest 10 diffraction maxima, sorted by position, 10 to 80 degrees two-theta:
d [Å], 2theta, Rel. int., h k l
8.487, 10.42, 100, 0 0 1
3.845, 23.13, 97, 1 0 1
3.025, 29.53, 53, 1 0 2
2.477, 36.27, 55, 1 1 2
2.157, 41.89, 68, 2 0 0
2.074, 43.64, 99, 1 1 3
1.904, 47.77, 25, 1 0 4
1.881, 48.39, 27, 2 1 1
1.525, 60.74, 22, 2 2 0
1.229, 77.73, 35, 3 1 3

Entry 3:
The following is a theoretical X-ray diffraction stick pattern of Ca3AcZn4. It was derived from a GGA-PBE-relaxed structure, using Cu Kα (weighted mean of Kα1 and Kα2).
No peak broadening, texture or thermal motion is included.

Crystal structure
Lattice parameters (Å, degrees): 10.7123 7.3471 5.3554 90.00 90.00 90.00
Space group Pmma (No. 51)
Inequivalent atoms, fractional coordinates:
Ca 0.0000 0.0000 0.0000
Ca 0.2500 0.0000 0.4988
Ca 0.2500 0.5000 0.4995
Ac 0.0000 0.5000 0.0000
Zn 0.0000 0.2388 0.5000
Zn 0.2500 0.2390 0.9986

Largest 10 diffraction maxima, sorted by position, 10 to 80 degrees two-theta:
d [Å], 2theta, Rel. int., h k l
7.347, 12.05, 17, 0 1 0
5.356, 16.55, 22, 2 0 0
4.328, 20.52, 27, 0 1 1
3.366, 26.48, 18, 2 1 1
3.029, 29.49, 11, 2 2 0
2.678, 33.46, 53, 4 0 0
2.637, 34.00, 100, 2 2 1
1.894, 48.05, 19, 4 0 2
1.538, 60.16, 37, 6 2 1
1.515, 61.19, 17, 4 4 0

Copy entry 3 word for word.
The following is a theoretical X-ray diffraction stick pattern of Ca3AcZn4. It was derived from a GGA-PBE-relaxed structure, using Cu Kα (weighted mean of Kα1 and Kα2).
No peak broadening, texture or thermal motion is included.

Crystal structure
Lattice parameters (Å, degrees): 10.7123 7.3471 5.3554 90.00 90.00 90.00
Space group Pmma (No. 51)
Inequivalent atoms, fractional coordinates:
Ca 0.0000 0.0000 0.0000
Ca 0.2500 0.0000 0.4988
Ca 0.2500 0.5000 0.4995
Ac 0.0000 0.5000 0.0000
Zn 0.0000 0.2388 0.5000
Zn 0.2500 0.2390 0.9986

Largest 10 diffraction maxima, sorted by position, 10 to 80 degrees two-theta:
d [Å], 2theta, Rel. int., h k l
7.347, 12.05, 17, 0 1 0
5.356, 16.55, 22, 2 0 0
4.328, 20.52, 27, 0 1 1
3.366, 26.48, 18, 2 1 1
3.029, 29.49, 11, 2 2 0
2.678, 33.46, 53, 4 0 0
2.637, 34.00, 100, 2 2 1
1.894, 48.05, 19, 4 0 2
1.538, 60.16, 37, 6 2 1
1.515, 61.19, 17, 4 4 0